[1]
Simulated XRD peak list
Compound: CsZrF4
Radiation: CuKα
Structure: DFT lattice parameters and positions (GGA-PBE)
Neutral-atom scattering factors, no anomalous dispersion.

Most intense lines, 5° ≤ 2θ ≤ 70°, sorted by position:
(hkl)  Position (°2θ)  I_rel
1 1 0  19.2  34
2 0 0  22.2  28
1 0 1  24.0  50
1 1 1  28.8  47
2 1 0  29.5  87
2 0 1  30.9  100
0 0 2  43.3  27
2 2 1  44.8  38
4 0 0  45.3  25
3 1 1  46.3  38
2 1 2  53.3  32
4 1 1  57.1  21

Atomic structure:
Lattice parameters (Å, degrees): 9.2502 9.2502 4.1770 90.00 90.00 120.00
Space group P-62m (No. 189)
Asymmetric unit:
Cs 0.0000 0.5477 0.0000 (multiplicity 3)
Zr 0.0000 0.2073 0.5000 (multiplicity 3)
F 0.0000 0.2128 0.0000 (multiplicity 3)
F 0.0000 0.7575 0.5000 (multiplicity 3)
F 0.1704 0.4606 0.5000 (multiplicity 6)

***

[2]
Simulated XRD peak list
Compound: TmTh2Ga2
Radiation: CuKα
Structure: DFT lattice parameters and positions (GGA-PBE)
Neutral-atom scattering factors, no anomalous dispersion.

Most intense lines, 5° ≤ 2θ ≤ 70°, sorted by position:
(hkl)  Position (°2θ)  I_rel
2 1 0  25.7  25
1 1 1  26.0  17
2 0 1  30.7  61
2 2 0  32.7  14
2 1 1  32.9  100
3 1 0  36.7  40
0 0 2  41.0  22
4 1 0  48.5  14
4 1 1  53.0  20
3 3 1  54.4  20
3 1 2  56.2  24
5 1 1  64.9  12

Atomic structure:
Lattice parameters (Å, degrees): 7.7461 7.7461 4.4038 90.00 90.00 90.00
Space group P4/mbm (No. 127)
Asymmetric unit:
Tm 0.0000 0.0000 0.0000 (multiplicity 2)
Th 0.1739 0.3261 0.5000 (multiplicity 4)
Ga 0.1220 0.6220 0.0000 (multiplicity 4)

***

> Which formula does entry 1 have?

CsZrF4